[1]
For CaPu3Pt2, a PBE-relaxed structure gives the simulated PXRD pattern in this record (Cu Kα, 1.54184 Å).
Peak positions follow from Bragg's law for the DFT cell and can differ from measured ones.

Top 10 peaks for 10 to 90 degrees two-theta, low angle first:
2theta  Rel. int.
22.74  32.9
30.82  87.3
31.31  60.0
32.86  100.0
36.14  82.8
36.85  32.9
38.09  37.1
40.79  41.3
41.66  56.5
65.97  28.3

Cell and atoms:
abc: 4.336 9.101 7.595
angles: 90.00 90.00 90.00
Fractional coordinates of all 12 atoms:
Ca 0.000 0.080 0.000
Ca 0.000 0.920 0.500
Pu 0.000 0.329 0.624
Pu 0.000 0.671 0.124
Pu 0.500 0.181 0.338
Pu 0.500 0.425 0.948
Pu 0.500 0.575 0.448
Pu 0.500 0.819 0.838
Pt 0.000 0.364 0.227
Pt 0.000 0.636 0.727
Pt 0.500 0.126 0.716
Pt 0.500 0.874 0.216

=====

[2]
For CsY2Se3, a PBE-relaxed structure gives the simulated PXRD pattern in this record (Cu Kα, 1.54184 Å).
Peak positions follow from Bragg's law for the DFT cell and can differ from measured ones.

Top 10 peaks for 10 to 90 degrees two-theta, low angle first:
2theta  Rel. int.
26.62  33.2
26.75  59.4
27.81  100.0
29.81  28.6
30.99  41.0
31.84  37.0
32.70  78.3
41.05  72.9
43.42  43.8
43.59  40.2

Cell and atoms:
abc: 7.765 4.168 11.242
angles: 90.00 103.62 90.00
Fractional coordinates of all 12 atoms:
Cs 0.029 0.250 0.344
Cs 0.971 0.750 0.656
Y 0.259 0.250 0.993
Y 0.499 0.750 0.315
Y 0.501 0.250 0.685
Y 0.741 0.750 0.007
Se 0.149 0.750 0.136
Se 0.331 0.750 0.526
Se 0.391 0.750 0.848
Se 0.609 0.250 0.152
Se 0.669 0.250 0.474
Se 0.851 0.250 0.864

=====

[3]
For KBaHg17, a PBE-relaxed structure gives the simulated PXRD pattern in this record (Cu Kα, 1.54184 Å).
Peak positions follow from Bragg's law for the DFT cell and can differ from measured ones.

Top 10 peaks for 10 to 90 degrees two-theta, low angle first:
2theta  Rel. int.
28.41  18.3
29.63  29.6
30.71  26.0
32.38  18.9
33.47  100.0
34.34  11.8
35.29  17.1
37.76  27.4
52.57  13.6
56.35  20.5

Cell and atoms:
abc: 8.383 8.383 8.383
angles: 77.07 77.07 77.07
Fractional coordinates of all 19 atoms:
K 0.000 0.000 0.000
Ba 0.321 0.321 0.321
Hg 0.036 0.036 0.431
Hg 0.036 0.431 0.036
Hg 0.079 0.701 0.701
Hg 0.299 0.299 0.752
Hg 0.299 0.752 0.299
Hg 0.345 0.644 0.946
Hg 0.345 0.946 0.644
Hg 0.431 0.036 0.036
Hg 0.530 0.530 0.530
Hg 0.644 0.345 0.946
Hg 0.644 0.946 0.345
Hg 0.701 0.079 0.701
Hg 0.701 0.701 0.079
Hg 0.705 0.705 0.705
Hg 0.752 0.299 0.299
Hg 0.946 0.345 0.644
Hg 0.946 0.644 0.345

=====

[4]
For BaTl4Pb2, a PBE-relaxed structure gives the simulated PXRD pattern in this record (Cu Kα, 1.54184 Å).
Peak positions follow from Bragg's law for the DFT cell and can differ from measured ones.

Top 10 peaks for 10 to 90 degrees two-theta, low angle first:
2theta  Rel. int.
26.45  26.1
27.80  31.9
29.71  100.0
31.19  70.3
32.83  55.9
33.93  52.3
35.37  52.0
36.09  36.8
53.66  50.2
65.05  22.2

Cell and atoms:
abc: 6.525 8.077 9.011
angles: 90.00 90.00 90.00
Fractional coordinates of all 14 atoms:
Ba 0.000 0.000 0.000
Ba 0.500 0.500 0.500
Tl 0.000 0.302 0.309
Tl 0.000 0.302 0.691
Tl 0.000 0.698 0.309
Tl 0.000 0.698 0.691
Tl 0.500 0.198 0.191
Tl 0.500 0.198 0.809
Tl 0.500 0.802 0.191
Tl 0.500 0.802 0.809
Pb 0.247 0.500 0.000
Pb 0.253 0.000 0.500
Pb 0.747 0.000 0.500
Pb 0.753 0.500 0.000

=====

[5]
For LaMg12Pd6, a PBE-relaxed structure gives the simulated PXRD pattern in this record (Cu Kα, 1.54184 Å).
Peak positions follow from Bragg's law for the DFT cell and can differ from measured ones.

Top 10 peaks for 10 to 90 degrees two-theta, low angle first:
2theta  Rel. int.
20.86  28.2
24.43  62.9
25.58  36.5
29.57  100.0
38.74  32.6
39.47  21.1
42.45  42.8
47.59  23.7
49.48  20.6
62.97  20.7

Cell and atoms:
abc: 7.643 7.643 7.643
angles: 104.59 104.59 104.59
Fractional coordinates of all 19 atoms:
La 0.000 0.000 0.000
Mg 0.120 0.500 0.880
Mg 0.120 0.880 0.500
Mg 0.164 0.427 0.427
Mg 0.427 0.164 0.427
Mg 0.427 0.427 0.164
Mg 0.500 0.120 0.880
Mg 0.500 0.880 0.120
Mg 0.573 0.573 0.836
Mg 0.573 0.836 0.573
Mg 0.836 0.573 0.573
Mg 0.880 0.120 0.500
Mg 0.880 0.500 0.120
Pd 0.257 0.257 0.699
Pd 0.257 0.699 0.257
Pd 0.301 0.743 0.743
Pd 0.699 0.257 0.257
Pd 0.743 0.301 0.743
Pd 0.743 0.743 0.301

=====

[6]
For Ac2LaNi2I2, a PBE-relaxed structure gives the simulated PXRD pattern in this record (Cu Kα, 1.54184 Å).
Peak positions follow from Bragg's law for the DFT cell and can differ from measured ones.

Top 10 peaks for 10 to 90 degrees two-theta, low angle first:
2theta  Rel. int.
24.97  63.7
30.47  100.0
32.00  21.2
35.60  48.5
47.55  58.9
51.23  17.2
57.81  13.0
60.78  14.2
63.41  13.2
72.47  17.0

Cell and atoms:
abc: 5.044 5.044 18.032
angles: 90.00 90.00 90.00
Fractional coordinates of all 14 atoms:
Ac 0.000 0.000 0.110
Ac 0.000 0.000 0.890
Ac 0.500 0.500 0.390
Ac 0.500 0.500 0.610
La 0.000 0.000 0.500
La 0.500 0.500 0.000
Ni 0.000 0.500 0.000
Ni 0.000 0.500 0.500
Ni 0.500 0.000 0.000
Ni 0.500 0.000 0.500
I 0.000 0.000 0.310
I 0.000 0.000 0.690
I 0.500 0.500 0.190
I 0.500 0.500 0.810

=====

[7]
For Pm2Sn2S7, a PBE-relaxed structure gives the simulated PXRD pattern in this record (Cu Kα, 1.54184 Å).
Peak positions follow from Bragg's law for the DFT cell and can differ from measured ones.

Top 10 peaks for 10 to 90 degrees two-theta, low angle first:
2theta  Rel. int.
20.42  34.7
21.19  100.0
21.93  44.1
25.28  25.5
31.43  23.5
35.34  21.9
40.06  17.3
40.27  26.0
44.41  16.6
44.54  16.5

Cell and atoms:
abc: 7.287 7.287 6.370
angles: 97.18 97.18 101.85
Fractional coordinates of all 11 atoms:
Pm 0.202 0.798 0.000
Pm 0.798 0.202 0.000
Sn 0.256 0.256 0.589
Sn 0.744 0.744 0.411
S 0.062 0.427 0.782
S 0.076 0.076 0.254
S 0.427 0.062 0.782
S 0.500 0.500 0.500
S 0.573 0.938 0.218
S 0.924 0.924 0.746
S 0.938 0.573 0.218

=====

[8]
For CaPr3Mg8, a PBE-relaxed structure gives the simulated PXRD pattern in this record (Cu Kα, 1.54184 Å).
Peak positions follow from Bragg's law for the DFT cell and can differ from measured ones.

Top 10 peaks for 10 to 90 degrees two-theta, low angle first:
2theta  Rel. int.
17.60  49.0
28.93  87.2
34.06  100.0
45.25  10.1
51.24  26.4
51.37  8.7
54.62  31.6
59.87  11.2
60.01  11.1
70.72  8.7

Cell and atoms:
abc: 10.672 10.672 10.672
angles: 33.66 33.66 33.66
Fractional coordinates of all 12 atoms:
Ca 0.000 0.000 0.000
Pr 0.126 0.126 0.126
Pr 0.501 0.501 0.501
Pr 0.625 0.625 0.625
Mg 0.062 0.564 0.564
Mg 0.063 0.063 0.561
Mg 0.063 0.561 0.063
Mg 0.312 0.312 0.312
Mg 0.561 0.063 0.063
Mg 0.564 0.062 0.564
Mg 0.564 0.564 0.062
Mg 0.813 0.813 0.813

=====

[9]
For ScS4, a PBE-relaxed structure gives the simulated PXRD pattern in this record (Cu Kα, 1.54184 Å).
Peak positions follow from Bragg's law for the DFT cell and can differ from measured ones.

Top 10 peaks for 10 to 90 degrees two-theta, low angle first:
2theta  Rel. int.
13.94  47.6
26.57  78.7
27.95  85.4
28.09  55.3
33.92  32.7
35.55  82.2
37.15  100.0
42.54  80.0
44.64  61.3
47.55  55.0

Cell and atoms:
abc: 3.952 4.229 6.611
angles: 88.03 74.15 73.95
Fractional coordinates of all 5 atoms:
Sc 0.000 0.000 0.000
S 0.176 0.870 0.576
S 0.321 0.396 0.133
S 0.679 0.604 0.867
S 0.824 0.130 0.424

=====

[10]
For Tb5HoPb5, a PBE-relaxed structure gives the simulated PXRD pattern in this record (Cu Kα, 1.54184 Å).
Peak positions follow from Bragg's law for the DFT cell and can differ from measured ones.

Top 10 peaks for 10 to 90 degrees two-theta, low angle first:
2theta  Rel. int.
28.43  56.5
29.82  100.0
34.96  32.9
41.67  82.0
45.66  31.5
57.97  15.7
59.55  14.3
67.30  30.1
69.52  18.3
80.27  12.6

Cell and atoms:
abc: 8.515 8.515 7.381
angles: 102.43 102.43 43.27
Fractional coordinates of all 11 atoms:
Tb 0.000 0.000 0.000
Tb 0.336 0.336 0.669
Tb 0.337 0.337 0.168
Tb 0.663 0.663 0.832
Tb 0.664 0.664 0.331
Ho 0.000 0.000 0.500
Pb 0.166 0.166 0.838
Pb 0.167 0.167 0.332
Pb 0.500 0.500 0.500
Pb 0.833 0.833 0.668
Pb 0.834 0.834 0.162

=====

[11]
For K2AcHf2O7, a PBE-relaxed structure gives the simulated PXRD pattern in this record (Cu Kα, 1.54184 Å).
Peak positions follow from Bragg's law for the DFT cell and can differ from measured ones.

Top 10 peaks for 10 to 90 degrees two-theta, low angle first:
2theta  Rel. int.
24.66  28.6
29.35  100.0
30.76  49.1
35.31  14.2
39.82  15.1
44.06  26.2
51.14  33.7
53.83  37.8
60.88  16.8
86.30  13.5

Cell and atoms:
abc: 11.686 11.686 11.686
angles: 159.74 159.74 28.80
Fractional coordinates of all 12 atoms:
K 0.196 0.196 0.000
K 0.804 0.804 0.000
Ac 0.000 0.000 0.000
Hf 0.402 0.402 0.000
Hf 0.598 0.598 0.000
O 0.081 0.581 0.500
O 0.316 0.316 0.000
O 0.419 0.919 0.500
O 0.500 0.500 0.000
O 0.581 0.081 0.500
O 0.684 0.684 0.000
O 0.919 0.419 0.500

=====

[12]
For ErThNi2As2, a PBE-relaxed structure gives the simulated PXRD pattern in this record (Cu Kα, 1.54184 Å).
Peak positions follow from Bragg's law for the DFT cell and can differ from measured ones.

Top 10 peaks for 10 to 90 degrees two-theta, low angle first:
2theta  Rel. int.
25.28  22.3
34.09  100.0
44.54  38.1
45.91  10.9
53.13  7.8
57.25  23.2
65.89  22.0
75.31  20.1
77.31  9.1
82.06  6.4

Cell and atoms:
abc: 4.068 4.068 7.906
angles: 90.00 90.00 120.00
Fractional coordinates of all 6 atoms:
Er 0.000 0.000 0.000
Th 0.000 0.000 0.500
Ni 0.333 0.667 0.261
Ni 0.667 0.333 0.739
As 0.333 0.667 0.769
As 0.667 0.333 0.231